Starting from the PBE geometry in Alexandria, the powder X-ray diffraction pattern of NdZn2GePt was simulated for Cu Kα (weighted mean of Kα1 and Kα2).
Neutral-atom scattering factors, no anomalous dispersion.

Peak list (10 most intense, 2θ = 10–90°, most intense first)
2.611 Å, rel. 100; 2.707 Å, rel. 25; 2.132 Å, rel. 24; 2.115 Å, rel. 23; 1.893 Å, rel. 19; 1.984 Å, rel. 17; 2.716 Å, rel. 17; 1.305 Å, rel. 16; 1.501 Å, rel. 16; 1.519 Å, rel. 13

Structure:
a b c (Å): 6.078 6.078 6.078
angles (deg): 139.28 138.93 59.22
Atoms (fractional coordinates):
Nd 0.000 0.000 0.000
Zn 0.379 0.379 0.000
Zn 0.751 0.251 0.500
Ge 0.611 0.611 0.000
Pt 0.241 0.741 0.500